Diffraction record for K2CoP2H6O8. The PXRD pattern is calculated, not measured: it uses a cell relaxed with GGA+U and Cu Kα.
No peak broadening, texture or thermal motion is included.

The 12 most intense peaks (15° ≤ 2θ ≤ 90°), by angle:
- 15.8°, d 5.620, intensity 23, (2 0 -1)
- 20.9°, d 4.248, intensity 13, (1 1 -1)
- 25.1°, d 3.541, intensity 12, (1 1 1)
- 27.5°, d 3.249, intensity 11, (0 0 2)
- 29.4°, d 3.038, intensity 100, (3 1 0)
- 30.2°, d 2.957, intensity 40, (1 1 -2)
- 33.9°, d 2.642, intensity 25, (0 2 0)
- 36.9°, d 2.436, intensity 16, (3 1 1)
- 37.4°, d 2.407, intensity 18, (2 0 -3)
- 47.2°, d 1.925, intensity 11, (4 2 -2)
- 51.6°, d 1.771, intensity 14, (2 2 2)
- 67.7°, d 1.385, intensity 12, (0 2 4)

Cell and atoms:
```
data_K2CoP2H6O8
_chemical_formula_sum 'K4 Co2 P4 H12 O16'
_cell_length_a 12.3970
_cell_length_b 5.2841
_cell_length_c 7.2329
_cell_angle_alpha 90.00
_cell_angle_beta 116.05
_cell_angle_gamma 90.00
_symmetry_space_group_name_H-M 'C 1 2/m 1'
_symmetry_Int_Tables_number 12
loop_
_symmetry_equiv_pos_as_xyz
'x,y,z'
'-x,-y,-z'
'-x,y,-z'
'x,-y,z'
'x+1/2,y+1/2,z'
'-x+1/2,-y+1/2,-z'
'-x+1/2,y+1/2,-z'
'x+1/2,-y+1/2,z'
loop_
_atom_site_label
_atom_site_type_symbol
_atom_site_fract_x
_atom_site_fract_y
_atom_site_fract_z
K1 K 0.1643 0.0000 0.2910
Co1 Co 0.0000 0.5000 0.5000
P1 P 0.1516 0.0000 0.7512
H1 H 0.0280 0.3484 0.8542
H2 H 0.2264 0.5000 0.0998
O1 O 0.0200 0.5000 0.2155
O2 O 0.0761 0.0000 0.8725
O3 O 0.1374 0.2385 0.6216
```